1.
ErTh2Te2P2: simulated PXRD pattern (Cu Kα (weighted mean of Kα1 and Kα2)), based on a structure optimized by DFT (GGA-PBE).
Peak positions follow from Bragg's law for the DFT cell and can differ from measured ones.

Peak list (12 most intense, 2θ = 10–90°, most intense first)
d = 2.698 Å, 33.21 deg, rel. 100.0
d = 3.578 Å, 24.88 deg, rel. 94.8
d = 1.846 Å, 49.38 deg, rel. 66.5
d = 2.530 Å, 35.48 deg, rel. 51.2
d = 1.285 Å, 73.76 deg, rel. 20.4
d = 1.600 Å, 57.60 deg, rel. 19.5
d = 1.789 Å, 51.05 deg, rel. 18.3
d = 1.491 Å, 62.27 deg, rel. 16.7
d = 1.145 Å, 84.60 deg, rel. 14.5
d = 2.663 Å, 33.66 deg, rel. 12.1
d = 1.349 Å, 69.71 deg, rel. 11.4
d = 1.456 Å, 63.92 deg, rel. 10.9

Crystal structure
a = 5.0606 Å, b = 5.0606 Å, c = 15.9433 Å
α = 90.00°, β = 90.00°, γ = 90.00°
Positions (direct):
1 Er 0.0000 0.0000 0.0000
2 Er 0.5000 0.5000 0.5000
3 Th 0.0000 0.0000 0.3926
4 Th 0.0000 0.0000 0.6074
5 Th 0.5000 0.5000 0.1074
6 Th 0.5000 0.5000 0.8926
7 Te 0.0000 0.0000 0.1891
8 Te 0.0000 0.0000 0.8109
9 Te 0.5000 0.5000 0.3109
10 Te 0.5000 0.5000 0.6891
11 P 0.0000 0.5000 0.0000
12 P 0.0000 0.5000 0.5000
13 P 0.5000 0.0000 0.0000
14 P 0.5000 0.0000 0.5000

***

2.
Er4ThP5: simulated PXRD pattern (Cu Kα (weighted mean of Kα1 and Kα2)), based on a structure optimized by DFT (GGA-PBE).
Peak positions follow from Bragg's law for the DFT cell and can differ from measured ones.

Peak list (12 most intense, 2θ = 10–90°, most intense first)
d = 2.835 Å, 31.55 deg, rel. 100.0
d = 3.274 Å, 27.24 deg, rel. 94.1
d = 2.006 Å, 45.21 deg, rel. 61.4
d = 1.711 Å, 53.57 deg, rel. 30.9
d = 1.637 Å, 56.19 deg, rel. 25.6
d = 1.158 Å, 83.46 deg, rel. 17.0
d = 1.269 Å, 74.83 deg, rel. 16.7
d = 1.301 Å, 72.65 deg, rel. 15.6
d = 1.708 Å, 53.67 deg, rel. 15.0
d = 2.001 Å, 45.32 deg, rel. 12.0
d = 1.268 Å, 74.91 deg, rel. 10.9
d = 1.156 Å, 83.64 deg, rel. 8.1

Crystal structure
a = 10.5924 Å, b = 10.5924 Å, c = 10.5924 Å
α = 158.17°, β = 148.90°, γ = 38.32°
Positions (direct):
1 Er 0.1026 0.1026 0.0000
2 Er 0.2970 0.2970 0.0000
3 Er 0.7030 0.7030 0.0000
4 Er 0.8974 0.8974 0.0000
5 Th 0.5000 0.5000 0.0000
6 P 0.0000 0.5000 0.5000
7 P 0.1997 0.6997 0.5000
8 P 0.3965 0.8965 0.5000
9 P 0.6035 0.1035 0.5000
10 P 0.8003 0.3003 0.5000

***

3.
Er5ThP6: simulated PXRD pattern (Cu Kα (weighted mean of Kα1 and Kα2)), based on a structure optimized by DFT (GGA-PBE).
Peak positions follow from Bragg's law for the DFT cell and can differ from measured ones.

Peak list (12 most intense, 2θ = 10–90°, most intense first)
d = 2.829 Å, 31.63 deg, rel. 100.0
d = 3.267 Å, 27.30 deg, rel. 93.4
d = 2.000 Å, 45.33 deg, rel. 73.5
d = 1.265 Å, 75.08 deg, rel. 33.3
d = 1.706 Å, 53.74 deg, rel. 26.7
d = 1.633 Å, 56.33 deg, rel. 25.7
d = 1.155 Å, 83.75 deg, rel. 25.4
d = 1.706 Å, 53.72 deg, rel. 19.2
d = 1.298 Å, 72.87 deg, rel. 18.7
d = 1.415 Å, 66.05 deg, rel. 12.0
d = 5.738 Å, 15.44 deg, rel. 0.7
d = 5.118 Å, 17.33 deg, rel. 0.5

Crystal structure
a = 6.9276 Å, b = 6.9276 Å, c = 6.9331 Å
α = 99.59°, β = 99.59°, γ = 119.99°
Positions (direct):
1 Er 0.0000 0.0000 0.0000
2 Er 0.1668 0.8332 0.5000
3 Er 0.3341 0.6659 0.0000
4 Er 0.6659 0.3341 0.0000
5 Er 0.8332 0.1668 0.5000
6 Th 0.5000 0.5000 0.5000
7 P 0.0778 0.4155 0.2465
8 P 0.2462 0.2462 0.7521
9 P 0.4155 0.0778 0.2465
10 P 0.5845 0.9222 0.7535
11 P 0.7538 0.7538 0.2479
12 P 0.9222 0.5845 0.7535

***

4.
Er3Th5P8: simulated PXRD pattern (Cu Kα (weighted mean of Kα1 and Kα2)), based on a structure optimized by DFT (GGA-PBE).
Peak positions follow from Bragg's law for the DFT cell and can differ from measured ones.

Peak list (12 most intense, 2θ = 10–90°, most intense first)
d = 2.886 Å, 30.99 deg, rel. 100.0
d = 3.336 Å, 26.72 deg, rel. 76.9
d = 1.741 Å, 52.55 deg, rel. 38.7
d = 2.044 Å, 44.32 deg, rel. 37.5
d = 2.037 Å, 44.48 deg, rel. 37.1
d = 3.321 Å, 26.85 deg, rel. 25.4
d = 1.668 Å, 55.06 deg, rel. 19.9
d = 1.292 Å, 73.25 deg, rel. 17.3
d = 1.289 Å, 73.48 deg, rel. 17.0
d = 1.179 Å, 81.69 deg, rel. 13.1
d = 1.736 Å, 52.72 deg, rel. 12.8
d = 1.443 Å, 64.59 deg, rel. 12.3

Crystal structure
a = 8.1479 Å, b = 8.1479 Å, c = 8.1479 Å
α = 60.23°, β = 60.23°, γ = 60.23°
Positions (direct):
1 Er 0.0000 0.5000 0.5000
2 Er 0.5000 0.0000 0.5000
3 Er 0.5000 0.5000 0.0000
4 Th 0.0000 0.0000 0.0000
5 Th 0.0000 0.0000 0.5000
6 Th 0.0000 0.5000 0.0000
7 Th 0.5000 0.0000 0.0000
8 Th 0.5000 0.5000 0.5000
9 P 0.2500 0.2500 0.7430
10 P 0.2500 0.7430 0.2500
11 P 0.2531 0.2531 0.2531
12 P 0.2570 0.7500 0.7500
13 P 0.7430 0.2500 0.2500
14 P 0.7469 0.7469 0.7469
15 P 0.7500 0.2570 0.7500
16 P 0.7500 0.7500 0.2570

***

5.
ErTmP: simulated PXRD pattern (Cu Kα (weighted mean of Kα1 and Kα2)), based on a structure optimized by DFT (GGA-PBE).
Peak positions follow from Bragg's law for the DFT cell and can differ from measured ones.

Peak list (12 most intense, 2θ = 10–90°, most intense first)
d = 2.941 Å, 30.40 deg, rel. 100.0
d = 1.925 Å, 47.21 deg, rel. 23.3
d = 2.278 Å, 39.57 deg, rel. 22.6
d = 1.764 Å, 51.83 deg, rel. 22.6
d = 3.118 Å, 28.63 deg, rel. 20.9
d = 1.638 Å, 56.15 deg, rel. 19.7
d = 1.611 Å, 57.19 deg, rel. 16.9
d = 3.335 Å, 26.73 deg, rel. 14.9
d = 1.235 Å, 77.22 deg, rel. 14.1
d = 1.168 Å, 82.57 deg, rel. 11.5
d = 1.212 Å, 79.03 deg, rel. 10.3
d = 1.301 Å, 72.70 deg, rel. 8.3

Crystal structure
a = 3.8505 Å, b = 3.8505 Å, c = 6.2362 Å
α = 90.00°, β = 90.00°, γ = 120.00°
Positions (direct):
1 Er 0.0000 0.0000 0.0000
2 Tm 0.6667 0.3333 0.4961
3 P 0.3333 0.6667 0.7468

***

6.
ErTm3P4: simulated PXRD pattern (Cu Kα (weighted mean of Kα1 and Kα2)), based on a structure optimized by DFT (GGA-PBE).
Peak positions follow from Bragg's law for the DFT cell and can differ from measured ones.

Peak list (9 most intense, 2θ = 10–90°, most intense first)
d = 2.795 Å, 32.02 deg, rel. 100.0
d = 3.227 Å, 27.64 deg, rel. 90.6
d = 1.976 Å, 45.92 deg, rel. 73.0
d = 1.685 Å, 54.44 deg, rel. 43.9
d = 1.250 Å, 76.16 deg, rel. 32.9
d = 1.614 Å, 57.07 deg, rel. 25.5
d = 1.141 Å, 85.00 deg, rel. 25.3
d = 1.282 Å, 73.90 deg, rel. 17.7
d = 1.398 Å, 66.96 deg, rel. 11.8

Crystal structure
a = 7.9055 Å, b = 11.1782 Å, c = 3.9537 Å
α = 90.00°, β = 90.00°, γ = 90.00°
Positions (direct):
1 Er 0.0000 0.0000 0.0000
2 Er 0.5000 0.5000 0.0000
3 Tm 0.0000 0.5000 0.0000
4 Tm 0.2500 0.2500 0.5000
5 Tm 0.2500 0.7500 0.5000
6 Tm 0.5000 0.0000 0.0000
7 Tm 0.7500 0.2500 0.5000
8 Tm 0.7500 0.7500 0.5000
9 P 0.0000 0.2504 0.0000
10 P 0.0000 0.7496 0.0000
11 P 0.2491 0.5000 0.5000
12 P 0.2509 0.0000 0.5000
13 P 0.5000 0.2496 0.0000
14 P 0.5000 0.7504 0.0000
15 P 0.7491 0.0000 0.5000
16 P 0.7509 0.5000 0.5000

***

7.
Y3ErP4: simulated PXRD pattern (Cu Kα (weighted mean of Kα1 and Kα2)), based on a structure optimized by DFT (GGA-PBE).
Peak positions follow from Bragg's law for the DFT cell and can differ from measured ones.

Peak list (12 most intense, 2θ = 10–90°, most intense first)
d = 2.830 Å, 31.61 deg, rel. 100.0
d = 2.001 Å, 45.31 deg, rel. 71.3
d = 3.268 Å, 27.29 deg, rel. 59.9
d = 1.266 Å, 75.04 deg, rel. 31.2
d = 1.707 Å, 53.70 deg, rel. 28.4
d = 1.634 Å, 56.30 deg, rel. 24.6
d = 1.155 Å, 83.70 deg, rel. 23.6
d = 1.415 Å, 66.02 deg, rel. 11.3
d = 1.299 Å, 72.83 deg, rel. 11.1
d = 6.535 Å, 13.55 deg, rel. 8.3
d = 3.414 Å, 26.10 deg, rel. 5.4
d = 5.659 Å, 15.66 deg, rel. 2.9

Crystal structure
a = 8.0044 Å, b = 11.3190 Å, c = 4.0040 Å
α = 90.00°, β = 90.00°, γ = 90.00°
Positions (direct):
1 Y 0.0000 0.0000 0.0000
2 Y 0.2500 0.2500 0.5000
3 Y 0.2500 0.7500 0.5000
4 Y 0.5000 0.5000 0.0000
5 Y 0.7500 0.2500 0.5000
6 Y 0.7500 0.7500 0.5000
7 Er 0.0000 0.5000 0.0000
8 Er 0.5000 0.0000 0.0000
9 P 0.0000 0.2511 0.0000
10 P 0.0000 0.7489 0.0000
11 P 0.2479 0.5000 0.5000
12 P 0.2521 0.0000 0.5000
13 P 0.5000 0.2489 0.0000
14 P 0.5000 0.7511 0.0000
15 P 0.7479 0.0000 0.5000
16 P 0.7521 0.5000 0.5000

***

8.
Y4ErP5: simulated PXRD pattern (Cu Kα (weighted mean of Kα1 and Kα2)), based on a structure optimized by DFT (GGA-PBE).
Peak positions follow from Bragg's law for the DFT cell and can differ from measured ones.

Peak list (12 most intense, 2θ = 10–90°, most intense first)
d = 2.832 Å, 31.59 deg, rel. 100.0
d = 2.003 Å, 45.28 deg, rel. 71.5
d = 3.270 Å, 27.27 deg, rel. 59.2
d = 1.267 Å, 74.99 deg, rel. 31.1
d = 1.708 Å, 53.67 deg, rel. 27.7
d = 1.635 Å, 56.26 deg, rel. 24.7
d = 1.156 Å, 83.63 deg, rel. 23.6
d = 1.416 Å, 65.97 deg, rel. 11.3
d = 1.299 Å, 72.78 deg, rel. 10.8
d = 4.787 Å, 18.53 deg, rel. 5.5
d = 6.333 Å, 13.98 deg, rel. 5.1
d = 4.478 Å, 19.83 deg, rel. 2.4

Crystal structure
a = 6.9372 Å, b = 6.9372 Å, c = 6.9372 Å
α = 99.60°, β = 99.60°, γ = 131.80°
Positions (direct):
1 Y 0.0996 0.7000 0.7997
2 Y 0.3000 0.0996 0.3996
3 Y 0.7000 0.9004 0.6004
4 Y 0.9004 0.3000 0.2003
5 Er 0.5000 0.5000 0.0000
6 P 0.0000 0.0000 0.0000
7 P 0.2015 0.4006 0.6021
8 P 0.4006 0.7985 0.1990
9 P 0.5994 0.2015 0.8010
10 P 0.7985 0.5994 0.3979

***

9.
YEr2ZrP4: simulated PXRD pattern (Cu Kα (weighted mean of Kα1 and Kα2)), based on a structure optimized by DFT (GGA-PBE).
Peak positions follow from Bragg's law for the DFT cell and can differ from measured ones.

Peak list (12 most intense, 2θ = 10–90°, most intense first)
d = 2.767 Å, 32.36 deg, rel. 100.0
d = 3.195 Å, 27.93 deg, rel. 72.4
d = 1.956 Å, 46.43 deg, rel. 59.5
d = 1.667 Å, 55.08 deg, rel. 22.8
d = 1.237 Å, 77.08 deg, rel. 15.7
d = 1.599 Å, 57.64 deg, rel. 12.3
d = 1.596 Å, 57.78 deg, rel. 12.3
d = 1.129 Å, 86.18 deg, rel. 12.1
d = 1.961 Å, 46.30 deg, rel. 12.0
d = 1.671 Å, 54.96 deg, rel. 11.5
d = 6.395 Å, 13.85 deg, rel. 11.4
d = 1.236 Å, 77.15 deg, rel. 10.5

Crystal structure
a = 6.7752 Å, b = 3.9088 Å, c = 6.7790 Å
α = 90.00°, β = 109.28°, γ = 90.00°
Positions (direct):
1 Y 0.0000 0.0000 0.0000
2 Er 0.5000 0.0000 0.5000
3 Er 0.5000 0.5000 0.0000
4 Zr 0.0000 0.5000 0.5000
5 P 0.2423 0.0000 0.7403
6 P 0.2472 0.5000 0.2569
7 P 0.7528 0.5000 0.7431
8 P 0.7577 0.0000 0.2597

***

10.
ErZn3P3: simulated PXRD pattern (Cu Kα (weighted mean of Kα1 and Kα2)), based on a structure optimized by DFT (GGA-PBE).
Peak positions follow from Bragg's law for the DFT cell and can differ from measured ones.

Peak list (12 most intense, 2θ = 10–90°, most intense first)
d = 3.262 Å, 27.34 deg, rel. 100.0
d = 2.833 Å, 31.58 deg, rel. 66.9
d = 1.995 Å, 45.47 deg, rel. 66.3
d = 2.387 Å, 37.69 deg, rel. 58.8
d = 1.553 Å, 59.51 deg, rel. 37.6
d = 2.604 Å, 34.45 deg, rel. 33.3
d = 2.476 Å, 36.28 deg, rel. 27.2
d = 1.718 Å, 53.31 deg, rel. 17.9
d = 1.702 Å, 53.88 deg, rel. 15.3
d = 1.530 Å, 60.49 deg, rel. 14.5
d = 1.214 Å, 78.83 deg, rel. 13.5
d = 1.631 Å, 56.42 deg, rel. 12.9

Crystal structure
a = 3.9891 Å, b = 3.9891 Å, c = 19.8068 Å
α = 90.00°, β = 90.00°, γ = 120.00°
Positions (direct):
1 Er 0.0000 0.0000 0.0000
2 Er 0.0000 0.0000 0.5000
3 Zn 0.3333 0.6667 0.1280
4 Zn 0.3333 0.6667 0.3720
5 Zn 0.3333 0.6667 0.7500
6 Zn 0.6667 0.3333 0.2500
7 Zn 0.6667 0.3333 0.6280
8 Zn 0.6667 0.3333 0.8720
9 P 0.3333 0.6667 0.2500
10 P 0.3333 0.6667 0.5829
11 P 0.3333 0.6667 0.9171
12 P 0.6667 0.3333 0.0829
13 P 0.6667 0.3333 0.4171
14 P 0.6667 0.3333 0.7500

***

11.
Er2ZrP3: simulated PXRD pattern (Cu Kα (weighted mean of Kα1 and Kα2)), based on a structure optimized by DFT (GGA-PBE).
Peak positions follow from Bragg's law for the DFT cell and can differ from measured ones.

Peak list (12 most intense, 2θ = 10–90°, most intense first)
d = 2.746 Å, 32.60 deg, rel. 100.0
d = 3.171 Å, 28.14 deg, rel. 79.3
d = 1.942 Å, 46.78 deg, rel. 71.7
d = 1.656 Å, 55.48 deg, rel. 37.6
d = 1.586 Å, 58.18 deg, rel. 24.8
d = 1.229 Å, 77.71 deg, rel. 21.3
d = 1.122 Å, 86.84 deg, rel. 16.5
d = 1.260 Å, 75.44 deg, rel. 15.0
d = 1.227 Å, 77.85 deg, rel. 10.5
d = 1.120 Å, 86.96 deg, rel. 8.2
d = 1.374 Å, 68.25 deg, rel. 7.7
d = 8.227 Å, 10.75 deg, rel. 7.1

Crystal structure
a = 3.8870 Å, b = 3.8870 Å, c = 16.4536 Å
α = 90.00°, β = 90.00°, γ = 90.00°
Positions (direct):
1 Er 0.0000 0.0000 0.1667
2 Er 0.0000 0.0000 0.8333
3 Er 0.5000 0.5000 0.3333
4 Er 0.5000 0.5000 0.6667
5 Zr 0.0000 0.0000 0.5000
6 Zr 0.5000 0.5000 0.0000
7 P 0.0000 0.0000 0.0000
8 P 0.0000 0.0000 0.3372
9 P 0.0000 0.0000 0.6628
10 P 0.5000 0.5000 0.1628
11 P 0.5000 0.5000 0.5000
12 P 0.5000 0.5000 0.8372

***

12.
Er2Pa: simulated PXRD pattern (Cu Kα (weighted mean of Kα1 and Kα2)), based on a structure optimized by DFT (GGA-PBE).
Peak positions follow from Bragg's law for the DFT cell and can differ from measured ones.

Peak list (12 most intense, 2θ = 10–90°, most intense first)
d = 2.681 Å, 33.43 deg, rel. 100.0
d = 2.552 Å, 35.17 deg, rel. 71.6
d = 2.777 Å, 32.23 deg, rel. 44.4
d = 2.947 Å, 30.33 deg, rel. 39.1
d = 1.458 Å, 63.84 deg, rel. 38.4
d = 1.713 Å, 53.48 deg, rel. 33.5
d = 2.152 Å, 41.99 deg, rel. 25.9
d = 1.614 Å, 57.08 deg, rel. 25.3
d = 1.422 Å, 65.64 deg, rel. 12.0
d = 8.331 Å, 10.62 deg, rel. 11.9
d = 1.530 Å, 60.52 deg, rel. 11.6
d = 1.444 Å, 64.52 deg, rel. 10.2

Crystal structure
a = 5.9302 Å, b = 3.4294 Å, c = 8.5643 Å
α = 90.00°, β = 103.39°, γ = 90.00°
Positions (direct):
1 Er 0.2271 0.0000 0.1783
2 Er 0.2729 0.5000 0.8217
3 Er 0.7271 0.5000 0.1783
4 Er 0.7729 0.0000 0.8217
5 Pa 0.0000 0.0000 0.5000
6 Pa 0.5000 0.5000 0.5000